No. 1
The following is a theoretical PXRD pattern of Li4Ti3V2Ni3O16. It was derived from a crystal structure in Alexandria, relaxed with GGA+U, using Cu Ka.
Intensities are scaled so that the largest is 100.

Cell and atoms:
```
28
Lattice="5.147 -2.950 0.000 5.147 2.950 0.000 -0.061 0.000 9.588" Properties=species:S:1:pos:R:3 pbc="T T T"
Li 0.000 0.000 0.000
Li -0.005 0.000 4.897
Li 3.367 0.000 5.673
Li 6.797 0.000 0.856
Ti 4.081 1.469 2.620
Ti 4.081 -1.469 2.620
Ti 8.364 0.000 7.267
V 3.376 0.000 9.529
V 6.566 0.000 4.884
Ni 1.701 0.000 2.753
Ni 5.993 1.450 7.559
Ni 5.993 -1.450 7.559
O 2.674 1.338 1.461
O 1.763 0.000 8.770
O 4.170 1.374 8.729
O 3.493 0.000 3.747
O 5.991 1.394 3.906
O 4.889 0.000 1.513
O 2.674 -1.338 1.461
O 5.314 0.000 6.144
O 7.613 1.291 6.158
O 4.170 -1.374 8.729
O 6.944 0.000 8.526
O 5.991 -1.394 3.906
O 8.545 0.000 3.779
O 7.613 -1.291 6.158
O 10.178 0.000 6.733
O 10.228 0.000 1.839
```

Main lines, by angle (10° ≤ 2θ ≤ 90°):
2θ 18.51, I 67; 2θ 19.66, I 100; 2θ 25.44, I 32; 2θ 33.07, I 37; 2θ 35.71, I 33; 2θ 36.34, I 47; 2θ 39.87, I 22; 2θ 45.34, I 37; 2θ 45.48, I 23; 2θ 62.65, I 28

---

No. 2
The following is a theoretical PXRD pattern of Li4Ti3Ni3W2O16. It was derived from a crystal structure in Alexandria, relaxed with GGA+U, using Cu Ka.
Intensities are scaled so that the largest is 100.

Cell and atoms:
```
28
Lattice="5.951 0.000 0.000 2.951 5.193 0.000 0.142 0.140 9.783" Properties=species:S:1:pos:R:3 pbc="T T T"
Li 0.000 0.000 0.000
Li 0.088 0.102 4.779
Li 3.039 1.732 0.808
Li 6.096 3.543 5.608
Ti 1.731 0.924 7.478
Ti 4.682 1.192 7.546
Ti 6.174 1.893 2.555
Ni 3.052 3.573 7.569
Ni 4.500 4.392 2.678
Ni 7.425 4.413 2.692
W 3.086 1.874 4.819
W 5.960 3.606 0.022
O 1.768 2.513 6.274
O 1.551 1.078 3.780
O 2.977 3.585 3.901
O 4.579 4.557 8.690
O 3.109 1.760 8.562
O 3.084 0.283 6.326
O 4.460 2.582 6.294
O 5.960 5.071 1.334
O 4.737 2.679 1.243
O 4.475 0.986 3.905
O 5.937 3.406 3.667
O 7.519 4.515 8.703
O 6.067 1.905 8.612
O 7.345 2.722 1.310
O 5.974 0.172 1.813
O 6.055 0.189 6.642
```

Main lines, by angle (10° ≤ 2θ ≤ 90°):
2θ 19.27, I 97; 2θ 19.41, I 100; 2θ 19.47, I 55; 2θ 19.63, I 56; 2θ 24.84, I 34; 2θ 32.20, I 42; 2θ 34.88, I 32; 2θ 35.05, I 47; 2θ 35.54, I 46; 2θ 35.88, I 40

---

No. 3
The following is a theoretical PXRD pattern of LiTl4Ni4O12. It was derived from a crystal structure in Alexandria, relaxed with GGA+U, using Cu Ka.
Intensities are scaled so that the largest is 100.

Cell and atoms:
```
21
Lattice="5.591 0.000 0.000 0.760 5.631 0.000 0.194 0.117 7.608" Properties=species:S:1:pos:R:3 pbc="T T T"
Li 0.000 0.000 0.000
Tl 1.733 1.452 3.876
Tl 2.102 1.200 0.201
Tl 4.901 4.327 3.730
Tl 4.875 3.522 0.015
Ni 2.111 4.059 1.925
Ni 2.271 4.038 5.704
Ni 4.588 1.165 5.629
Ni 4.577 1.228 2.009
O 0.751 2.318 1.516
O 1.169 2.323 6.185
O 1.585 3.682 3.811
O 2.797 4.570 7.607
O 2.690 0.247 2.270
O 3.545 5.635 5.162
O 3.754 3.073 2.125
O 3.905 2.983 5.370
O 4.417 1.439 7.548
O 5.126 0.949 3.855
O 6.126 4.985 6.020
O 6.042 4.989 1.682
```

Main lines, by angle (10° ≤ 2θ ≤ 90°):
2θ 20.95, I 65; 2θ 23.39, I 56; 2θ 31.12, I 100; 2θ 31.79, I 82; 2θ 32.06, I 98; 2θ 32.32, I 91; 2θ 33.67, I 78; 2θ 33.84, I 87; 2θ 42.64, I 45; 2θ 47.83, I 48